Structure and theoretical powder diffraction line list of Pu4P (a DFT-relaxed cell (PBE, Alexandria); Cu Kα (weighted mean of Kα1 and Kα2)).
Lines closer than 0.1° are merged.

Top 9 peaks for 2θ from 10° to 90°, sorted by position:
| Position (°2θ) | d [Å] | I (rel.) | index |
| --- | --- | --- | --- |
| 28.7 | 3.114 | 100 | 1 1 1 |
| 33.2 | 2.697 | 59 | 2 0 0 |
| 47.7 | 1.907 | 44 | 2 2 0 |
| 56.6 | 1.626 | 47 | 3 1 1 |
| 59.4 | 1.557 | 15 | 2 2 2 |
| 69.7 | 1.348 | 7 | 4 0 0 |
| 77.1 | 1.237 | 20 | 3 3 1 |
| 79.5 | 1.206 | 21 | 4 2 0 |
| 88.9 | 1.101 | 16 | 4 2 2 |

```
Pu4P
1.0
5.394 0.000 0.000
0.000 5.394 0.000
0.000 0.000 5.394
Pu P
4 1
Direct
0.000 0.000 0.000 Pu
0.000 0.500 0.500 Pu
0.500 0.000 0.500 Pu
0.500 0.500 0.000 Pu
0.500 0.500 0.500 P
```